No. 1
Diffraction record for NpCd2Pt9. The X-ray diffraction stick pattern is calculated, not measured: it uses a DFT-relaxed cell (PBE, Alexandria) and CuKα.

Most intense lines, 2θ from 15° to 90°, low angle first:
two_theta  intensity  hkl
19.4  15  1 0 1
30.6  10  0 0 9
33.4  27  1 1 0
38.9  24  0 2 1
39.4  100  1 1 6
41.2  33  0 0 12
42.5  37  2 0 5
45.9  15  0 2 7
63.7  27  0 3 6
70.1  23  2 2 0
73.9  9  1 1 18
84.7  21  2 2 12

Structure:
a = 5.3676 Å, b = 5.3676 Å, c = 26.2971 Å
α = 90.00°, β = 90.00°, γ = 120.00°
Space group R-3m (No. 166, hexagonal axes)
Unique sites:
Np  0.0000  0.0000  0.0000 x3
Cd  0.0000  0.0000  0.1443 x6
Pt  0.0000  0.0000  0.3336 x6
Pt  0.0000  0.0000  0.5000 x3
Pt  0.0040  0.5020  0.9150 x18



No. 2
Diffraction record for NpCd3Pt8. The X-ray diffraction stick pattern is calculated, not measured: it uses a DFT-relaxed cell (PBE, Alexandria) and CuKα.

Most intense lines, 2θ from 15° to 90°, low angle first:
two_theta  intensity  hkl
18.9  18  1 1 0
33.1  19  3 1 0
36.5  57  2 0 3
39.2  100  3 1 -2
39.9  100  2 2 -1
41.6  24  0 0 4
43.9  30  4 0 -2
61.3  15  4 2 -3
63.3  21  3 3 -2
67.0  15  4 0 -5
67.1  16  2 2 5
69.5  31  6 2 0

Structure:
a = 9.366 Å, b = 5.409 Å, c = 8.688 Å
α = 90.00°, β = 90.15°, γ = 90.00°
Space group Cm (No. 8)
Unique sites:
Np  0.000  0.000  0.000 x2
Cd  0.000  0.000  0.614 x2
Cd  0.166  0.500  0.520 x2
Cd  0.167  0.500  0.152 x2
Pt  0.003  0.500  0.824 x2
Pt  0.164  0.000  0.318 x2
Pt  0.248  0.255  0.824 x4
Pt  0.333  0.000  0.573 x2
Pt  0.334  0.000  0.072 x2
Pt  0.418  0.254  0.320 x4